Diffraction record for Rb3VTe4. The X-ray powder pattern is calculated, not measured: it uses DFT lattice parameters and positions (PBE) and copper Kα.
Peak positions follow from Bragg's law for the DFT cell and can differ from measured ones.

```
data_Rb3VTe4
_chemical_formula_sum 'Rb3 V1 Te4'
_symmetry_space_group_name_H-M 'P 1'
_symmetry_Int_Tables_number 1
_cell_length_a 8.0006
_cell_length_b 8.0006
_cell_length_c 8.0006
_cell_angle_alpha 122.92
_cell_angle_beta 90.58
_cell_angle_gamma 116.51
loop_
_symmetry_equiv_pos_as_xyz
'x,y,z'
loop_
_atom_site_label
_atom_site_type_symbol
_atom_site_fract_x
_atom_site_fract_y
_atom_site_fract_z
_atom_site_occupancy
Rb1 Rb 0.0000 0.0000 0.0000 1
Rb2 Rb 0.3691 0.6201 0.7491 1
Rb3 Rb 0.8710 0.6201 0.2509 1
V1 V 0.5344 0.0344 0.5000 1
Te1 Te 0.3589 0.1191 0.7603 1
Te2 Te 0.3589 0.5986 0.2397 1
Te3 Te 0.5099 0.1992 0.3107 1
Te4 Te 0.8884 0.1992 0.6893 1
```

Most intense lines, 2θ from 10° to 90°, by angle:
| d (Å) | 2θ/deg | intensity |
| --- | --- | --- |
| 6.742 | 13.13 | 43 |
| 5.659 | 15.66 | 25 |
| 3.991 | 22.28 | 32 |
| 3.427 | 26.00 | 43 |
| 3.370 | 26.44 | 100 |
| 3.325 | 26.81 | 56 |
| 3.162 | 28.22 | 48 |
| 2.830 | 31.62 | 57 |
| 2.814 | 31.80 | 27 |
| 1.995 | 45.45 | 28 |